Record 1
YThCoAg: theoretical powder diffractogram (a wavelength of 1.5418 Å), based on a crystal structure in Alexandria, relaxed with PBE.
Lines closer than 0.1° are merged.

Structure:
Cell: 5.0459 5.0459 5.0459 Å, 60.00 60.00 60.00°
Element x y z (fractional)
Y: 0.0000 0.0000 0.0000
Th: 0.5000 0.5000 0.5000
Co: 0.7500 0.7500 0.7500
Ag: 0.2500 0.2500 0.2500

Main lines, low angle first (2θ = 10–90°):
2theta	intensity
21.6	18.8
25.0	9.7
35.6	100.0
42.0	10.9
51.2	17.5
56.2	4.8
57.8	4.5
63.9	35.5
68.3	3.7
75.3	10.9
79.5	3.8
86.2	15.7

***

Record 2
NbBIr: theoretical powder diffractogram (a wavelength of 1.5418 Å), based on a crystal structure in Alexandria, relaxed with PBE.
Lines closer than 0.1° are merged.

Structure:
Cell: 10.5872 3.5069 6.1640 Å, 90.00 90.00 90.00°
Element x y z (fractional)
Nb: 0.0406 0.0000 0.2225
Nb: 0.2500 0.0000 0.8537
Nb: 0.4594 0.0000 0.2225
Nb: 0.5406 0.0000 0.7775
Nb: 0.7500 0.0000 0.1463
Nb: 0.9594 0.0000 0.7775
B: 0.0856 0.5000 0.9515
B: 0.2500 0.0000 0.4329
B: 0.4144 0.5000 0.9515
B: 0.5856 0.5000 0.0485
B: 0.7500 0.0000 0.5671
B: 0.9144 0.5000 0.0485
Ir: 0.1236 0.5000 0.5759
Ir: 0.2500 0.5000 0.1965
Ir: 0.3764 0.5000 0.5759
Ir: 0.6236 0.5000 0.4241
Ir: 0.7500 0.5000 0.8035
Ir: 0.8764 0.5000 0.4241

Main lines, low angle first (2θ = 10–90°):
2theta	intensity
14.4	30.7
29.3	47.3
30.6	25.2
37.0	46.4
39.0	100.0
39.9	60.8
42.6	25.7
44.9	24.9
45.2	30.0
45.3	46.3
52.2	31.6
71.5	25.8

***

Record 3
KTaCu2Cl8: theoretical powder diffractogram (a wavelength of 1.5418 Å), based on a crystal structure in Alexandria, relaxed with PBE.
Lines closer than 0.1° are merged.

Structure:
Cell: 11.8103 11.8103 11.8103 Å, 29.54 29.54 29.54°
Element x y z (fractional)
K: 0.0000 0.0000 0.0000
Ta: 0.5000 0.5000 0.5000
Cu: 0.2427 0.2427 0.2427
Cu: 0.7573 0.7573 0.7573
Cl: 0.1516 0.4485 0.7633
Cl: 0.2367 0.5515 0.8484
Cl: 0.3068 0.3068 0.3068
Cl: 0.4485 0.7633 0.1516
Cl: 0.5515 0.8484 0.2367
Cl: 0.6932 0.6932 0.6932
Cl: 0.7633 0.1516 0.4485
Cl: 0.8484 0.2367 0.5515

Main lines, low angle first (2θ = 10–90°):
2theta	intensity
17.2	31.6
20.0	100.0
21.5	20.6
27.1	23.9
29.7	37.8
33.8	17.9
36.0	20.6
38.3	13.2
44.0	34.4
47.4	18.6
50.5	13.0
52.7	19.1

***

Record 4
Tm6Os2Pb: theoretical powder diffractogram (a wavelength of 1.5418 Å), based on a crystal structure in Alexandria, relaxed with PBE.
Lines closer than 0.1° are merged.

Structure:
Cell: 8.4398 8.4398 8.4398 Å, 112.66 111.39 104.48°
Element x y z (fractional)
Tm: 0.0269 0.2423 0.7846
Tm: 0.1845 0.2828 0.4673
Tm: 0.1845 0.7172 0.9017
Tm: 0.3322 0.0196 0.6874
Tm: 0.3322 0.6447 0.3126
Tm: 0.4577 0.2423 0.2154
Tm: 0.5423 0.7577 0.7846
Tm: 0.6678 0.3553 0.6874
Tm: 0.6678 0.9804 0.3126
Tm: 0.8155 0.2828 0.0983
Tm: 0.8155 0.7172 0.5327
Tm: 0.9731 0.7577 0.2154
Os: 0.1226 0.6226 0.5000
Os: 0.3355 0.0000 0.3355
Os: 0.6645 0.0000 0.6645
Os: 0.8774 0.3774 0.5000
Pb: 0.0000 0.0000 0.0000
Pb: 0.5000 0.5000 0.0000

Main lines, low angle first (2θ = 10–90°):
2theta	intensity
13.3	18.6
19.0	20.8
31.9	100.0
33.6	53.4
34.5	73.6
35.3	69.2
35.5	36.1
37.8	18.6
38.5	34.6
38.9	30.3
39.7	27.8
60.1	31.2